Record 1
# Mn4HgO8
Theoretical powder diffraction line list, λ = 1.5418 Å (Cu Kα). Input: a structure optimized by DFT (GGA+U).

Peak list (10 most intense, 15° ≤ 2θ ≤ 90°, sorted by position)
Position (°2θ)  I (rel.)
17.8  100
20.0  67
26.9  31
29.7  27
31.3  45
33.7  38
36.1  36
40.5  79
55.5  23
61.7  22

Structural model:
Lattice parameters (Å, degrees): 6.686 6.686 6.686 53.43 53.43 53.43
Element x y z (fractional)
Mn (0.000, 0.000, 0.000)
Mn (0.000, 0.500, 0.500)
Mn (0.500, 0.000, 0.500)
Mn (0.500, 0.500, 0.000)
Hg (0.500, 0.500, 0.500)
O (0.238, 0.238, 0.701)
O (0.238, 0.701, 0.238)
O (0.276, 0.276, 0.276)
O (0.299, 0.762, 0.762)
O (0.701, 0.238, 0.238)
O (0.724, 0.724, 0.724)
O (0.762, 0.299, 0.762)
O (0.762, 0.762, 0.299)

***

Record 2
# MnHgO2
Theoretical powder diffraction line list, λ = 1.5418 Å (Cu Kα). Input: a structure optimized by DFT (GGA+U).

Peak list (10 most intense, 15° ≤ 2θ ≤ 90°, sorted by position)
Position (°2θ)  I (rel.)
18.7  33
20.2  17
29.7  35
32.3  100
33.5  22
38.7  19
38.9  14
45.4  21
54.4  23
59.1  27

Structural model:
Lattice parameters (Å, degrees): 5.569 5.569 5.569 114.61 92.57 122.60
Element x y z (fractional)
Mn (0.126, 0.250, 0.376)
Mn (0.874, 0.750, 0.624)
Hg (0.388, 0.784, 0.104)
Hg (0.680, 0.284, 0.896)
O (0.218, 0.108, 0.611)
O (0.497, 0.608, 0.389)
O (0.860, 0.360, 0.500)
O (0.860, 0.860, 0.000)